Structure and computed powder diffractogram of YbBrO (the PBE geometry in Alexandria; Cu Kα X-rays).
Lines closer than 0.1° are merged.

a = 3.824 Å, b = 3.824 Å, c = 9.077 Å
α = 90.00°, β = 90.00°, γ = 90.00°
Space group P4/nmm (No. 129, origin choice 2)
One atom of each set of equivalent atoms:
Yb1 0.250 0.250 0.132 (multiplicity 2)
Br1 0.250 0.250 0.687 (multiplicity 2)
O1 0.250 0.750 0.000 (multiplicity 2)

Most intense lines, 2θ from 10° to 90°, low angle first:
2θ (°)  I/Imax
30.57  100
33.13  43
37.92  20
38.77  8
47.56  20
52.65  14
57.60  33
61.52  9
62.37  9
77.82  10

---

Structure and computed powder diffractogram of La2MgN (the PBE geometry in Alexandria; Cu Kα X-rays).
Lines closer than 0.1° are merged.

a = 5.425 Å, b = 10.634 Å, c = 7.722 Å
α = 90.00°, β = 90.00°, γ = 90.00°
Space group Ima2 (No. 46)
One atom of each set of equivalent atoms:
La1 0.250 0.103 0.000 (multiplicity 4)
La2 0.250 0.749 0.248 (multiplicity 4)
Mg1 0.250 0.066 0.498 (multiplicity 4)
N1 0.250 0.612 0.500 (multiplicity 4)

Most intense lines, 2θ from 10° to 90°, low angle first:
2θ (°)  I/Imax
14.17  55
26.15  27
28.57  42
29.61  100
30.12  75
33.03  38
41.23  30
44.21  32
53.81  27
56.90  41

---

Structure and computed powder diffractogram of Pr12Nd5Dy (the PBE geometry in Alexandria; Cu Kα X-rays).
Lines closer than 0.1° are merged.

a = 15.672 Å, b = 15.681 Å, c = 5.231 Å
α = 90.00°, β = 90.00°, γ = 90.00°
Space group Cmmm (No. 65)
One atom of each set of equivalent atoms:
Pr1 0.000 0.165 0.000 (multiplicity 4)
Pr2 0.000 0.333 0.500 (multiplicity 4)
Pr3 0.166 0.166 0.500 (multiplicity 8)
Pr4 0.167 0.334 0.000 (multiplicity 8)
Nd1 0.000 0.500 0.000 (multiplicity 2)
Nd2 0.166 0.000 0.000 (multiplicity 4)
Nd3 0.167 0.500 0.500 (multiplicity 4)
Dy1 0.000 0.000 0.500 (multiplicity 2)

Most intense lines, 2θ from 10° to 90°, low angle first:
2θ (°)  I/Imax
29.60  100
34.31  51
49.31  36
58.57  43
61.45  13
72.28  4
72.35  2
80.01  18
82.53  16

---

Structure and computed powder diffractogram of SmMgH6Ir2 (the PBE geometry in Alexandria; Cu Kα X-rays).
Lines closer than 0.1° are merged.

a = 4.6019 Å, b = 4.6019 Å, c = 15.7332 Å
α = 90.00°, β = 90.00°, γ = 120.00°
Space group R-3m (No. 166, hexagonal axes)
One atom of each set of equivalent atoms:
Sm1 0.0000 0.0000 0.0000 (multiplicity 3)
Mg1 0.0000 0.0000 0.5000 (multiplicity 3)
H1 0.0047 0.5024 0.9394 (multiplicity 18)
Ir1 0.0000 0.0000 0.2085 (multiplicity 6)

Most intense lines, 2θ from 10° to 90°, low angle first:
2θ (°)  I/Imax
23.02  61
25.05  25
31.97  76
36.38  96
39.15  100
51.40  20
54.51  30
63.58  20
67.26  21
69.14  30